Starting from a structure optimized by DFT (GGA+U), the powder diffractogram of MgV2Co2O8 was simulated for CuKα.

```
MgV2Co2O8
1.0
5.1299 0.0000 0.0000
0.0000 6.3516 0.0000
-2.0436 0.0000 4.9146
Mg V Co O
1 2 2 8
Direct
0.0000 0.0000 0.0000
0.2390 0.0000 0.5319
0.9275 0.5000 0.7937
0.5804 0.2613 0.1658
0.5804 0.7387 0.1658
0.2974 0.5000 0.9403
0.3354 0.2060 0.3836
0.3354 0.7940 0.3836
0.3391 0.0000 0.8996
0.8010 0.5000 0.4361
0.8072 0.2749 0.9066
0.8072 0.7251 0.9066
0.8626 0.0000 0.3466
```

Peak list (6 most intense, 10 to 90 degrees two-theta, most intense first)
(hkl)  2θ/deg  d_spacing  I (rel.)
1 2 0  34.01  2.636  100
1 0 1  30.84  2.899  48
0 2 1  33.60  2.667  48
1 1 -1  24.83  3.586  45
1 1 0  23.43  3.797  34
2 0 -1  35.19  2.551  32